Record 1
Li23Mg6Cu: theoretical X-ray powder pattern (Cu Kα (weighted mean of Kα1 and Kα2)), based on the PBE geometry in Alexandria.

Atomic structure:
a b c (Å): 13.253 13.253 13.253
angles (deg): 90.00 90.00 90.00
Space group Fm-3m (No. 225)
Asymmetric unit:
Li: 0.000 0.000 0.000 (multiplicity 4)
Li: 0.000 0.250 0.250 (multiplicity 24)
Li: 0.118 0.118 0.118 (multiplicity 32)
Li: 0.159 0.159 0.341 (multiplicity 32)
Mg: 0.000 0.000 0.295 (multiplicity 24)
Cu: 0.000 0.000 0.500 (multiplicity 4)

Main lines, in order of rising 2θ (10° ≤ 2θ ≤ 90°):
| 2θ/deg | intensity |
| --- | --- |
| 11.56 | 100 |
| 13.36 | 71 |
| 22.25 | 22 |
| 26.91 | 30 |
| 30.16 | 35 |
| 35.19 | 67 |
| 38.42 | 57 |
| 40.26 | 14 |
| 40.85 | 20 |
| 49.09 | 23 |
| 60.50 | 17 |
| 73.98 | 16 |

---

Record 2
LiMgCu2O4: theoretical X-ray powder pattern (Cu Kα (weighted mean of Kα1 and Kα2)), based on the PBE geometry in Alexandria.

Atomic structure:
a b c (Å): 4.196 4.196 8.143
angles (deg): 90.00 90.00 90.00
Space group I4/mmm (No. 139)
Asymmetric unit:
Li: 0.000 0.000 0.000 (multiplicity 2)
Mg: 0.000 0.000 0.500 (multiplicity 2)
Cu: 0.000 0.500 0.250 (multiplicity 4)
O: 0.000 0.000 0.251 (multiplicity 4)
O: 0.000 0.500 0.000 (multiplicity 4)

Main lines, in order of rising 2θ (10° ≤ 2θ ≤ 90°):
| 2θ/deg | intensity |
| --- | --- |
| 21.83 | 65 |
| 30.12 | 59 |
| 37.51 | 60 |
| 43.12 | 100 |
| 44.51 | 45 |
| 48.83 | 29 |
| 54.68 | 20 |
| 62.62 | 28 |
| 63.70 | 53 |
| 67.16 | 10 |
| 75.34 | 18 |
| 80.03 | 25 |

---

Record 3
LiMg2Cu2Pd5: theoretical X-ray powder pattern (Cu Kα (weighted mean of Kα1 and Kα2)), based on the PBE geometry in Alexandria.

Atomic structure:
a b c (Å): 9.018 9.018 3.895
angles (deg): 90.00 90.00 90.00
Space group P4/mbm (No. 127)
Asymmetric unit:
Li: 0.000 0.000 0.000 (multiplicity 2)
Mg: 0.170 0.330 0.000 (multiplicity 4)
Cu: 0.126 0.626 0.000 (multiplicity 4)
Pd: 0.000 0.500 0.500 (multiplicity 2)
Pd: 0.081 0.803 0.500 (multiplicity 8)

Main lines, in order of rising 2θ (10° ≤ 2θ ≤ 90°):
| 2θ/deg | intensity |
| --- | --- |
| 22.04 | 49 |
| 22.83 | 47 |
| 31.37 | 19 |
| 39.15 | 100 |
| 41.27 | 34 |
| 42.98 | 64 |
| 46.64 | 31 |
| 47.69 | 26 |
| 64.02 | 18 |
| 70.30 | 16 |
| 74.38 | 16 |
| 81.49 | 19 |

---

Record 4
LiMgCuPt: theoretical X-ray powder pattern (Cu Kα (weighted mean of Kα1 and Kα2)), based on the PBE geometry in Alexandria.

Atomic structure:
a b c (Å): 6.174 6.174 6.174
angles (deg): 90.00 90.00 90.00
Space group F-43m (No. 216)
Asymmetric unit:
Li: 0.000 0.000 0.000 (multiplicity 4)
Mg: 0.250 0.250 0.750 (multiplicity 4)
Cu: 0.250 0.250 0.250 (multiplicity 4)
Pt: 0.000 0.000 0.500 (multiplicity 4)

Main lines, in order of rising 2θ (10° ≤ 2θ ≤ 90°):
| 2θ/deg | intensity |
| --- | --- |
| 24.98 | 100 |
| 28.92 | 14 |
| 41.36 | 93 |
| 48.93 | 50 |
| 51.26 | 4 |
| 59.93 | 15 |
| 65.95 | 21 |
| 67.89 | 6 |
| 75.43 | 31 |
| 80.91 | 16 |
| 89.88 | 10 |

---

Record 5
LiMg2CuSe: theoretical X-ray powder pattern (Cu Kα (weighted mean of Kα1 and Kα2)), based on the PBE geometry in Alexandria.

Atomic structure:
a b c (Å): 5.190 5.190 4.652
angles (deg): 90.00 90.00 90.00
Space group P4/mmm (No. 123)
Asymmetric unit:
Li: 0.000 0.000 0.000 (multiplicity 1)
Mg: 0.000 0.500 0.500 (multiplicity 2)
Cu: 0.500 0.500 0.000 (multiplicity 1)
Se: 0.500 0.500 0.500 (multiplicity 1)

Main lines, in order of rising 2θ (10° ≤ 2θ ≤ 90°):
| 2θ/deg | intensity |
| --- | --- |
| 17.08 | 100 |
| 19.08 | 6 |
| 24.25 | 22 |
| 34.56 | 35 |
| 38.77 | 38 |
| 42.59 | 19 |
| 46.21 | 8 |
| 49.68 | 12 |
| 52.87 | 25 |
| 55.98 | 21 |
| 64.72 | 16 |
| 78.07 | 7 |

---

Record 6
Li5Mg2Zn2Cu: theoretical X-ray powder pattern (Cu Kα (weighted mean of Kα1 and Kα2)), based on the PBE geometry in Alexandria.

Atomic structure:
a b c (Å): 10.028 10.028 3.427
angles (deg): 90.00 90.00 90.00
Space group P4/mbm (No. 127)
Asymmetric unit:
Li: 0.000 0.500 0.000 (multiplicity 2)
Li: 0.064 0.186 0.000 (multiplicity 8)
Mg: 0.170 0.670 0.500 (multiplicity 4)
Zn: 0.131 0.369 0.500 (multiplicity 4)
Cu: 0.000 0.000 0.500 (multiplicity 2)

Main lines, in order of rising 2θ (10° ≤ 2θ ≤ 90°):
| 2θ/deg | intensity |
| --- | --- |
| 19.80 | 41 |
| 25.12 | 15 |
| 26.00 | 61 |
| 28.14 | 88 |
| 32.19 | 17 |
| 32.90 | 18 |
| 36.47 | 14 |
| 38.69 | 100 |
| 41.83 | 24 |
| 51.56 | 16 |
| 58.63 | 19 |
| 61.52 | 18 |

---

Please write out number 4 again, unchanged.
LiMgCuPt: theoretical X-ray powder pattern (Cu Kα (weighted mean of Kα1 and Kα2)), based on the PBE geometry in Alexandria.

Atomic structure:
a b c (Å): 6.174 6.174 6.174
angles (deg): 90.00 90.00 90.00
Space group F-43m (No. 216)
Asymmetric unit:
Li: 0.000 0.000 0.000 (multiplicity 4)
Mg: 0.250 0.250 0.750 (multiplicity 4)
Cu: 0.250 0.250 0.250 (multiplicity 4)
Pt: 0.000 0.000 0.500 (multiplicity 4)

Main lines, in order of rising 2θ (10° ≤ 2θ ≤ 90°):
| 2θ/deg | intensity |
| --- | --- |
| 24.98 | 100 |
| 28.92 | 14 |
| 41.36 | 93 |
| 48.93 | 50 |
| 51.26 | 4 |
| 59.93 | 15 |
| 65.95 | 21 |
| 67.89 | 6 |
| 75.43 | 31 |
| 80.91 | 16 |
| 89.88 | 10 |

---

Which formula does entry 6 have?
Li5Mg2Zn2Cu